# 1
Calculated XRD peak list
Compound: Mg4AlSb
Radiation: Cu Kα X-rays
Structure: a cell relaxed with GGA-PBE
Peak positions follow from Bragg's law for the DFT cell and can differ from measured ones.

Peak list (8 most intense, 15 to 90 degrees two-theta, by intensity)
2theta  intensity
36.3  100
30.8  59
18.7  43
58.4  32
21.7  28
54.8  23
38.0  20
64.2  20

Crystal structure
Unit cell a=5.8047 b=5.8047 c=5.8047 alpha=60.00 beta=60.00 gamma=60.00
Fractional coordinates of all 6 atoms:
Mg 0.1250 0.1250 0.1250
Mg 0.1250 0.1250 0.6250
Mg 0.1250 0.6250 0.1250
Mg 0.6250 0.1250 0.1250
Al 0.5000 0.5000 0.5000
Sb 0.7500 0.7500 0.7500

---

# 2
Calculated XRD peak list
Compound: HoEr6Th4
Radiation: Cu Kα X-rays
Structure: a cell relaxed with GGA-PBE
Peak positions follow from Bragg's law for the DFT cell and can differ from measured ones.

Peak list (8 most intense, 15 to 90 degrees two-theta, by intensity)
2theta  intensity
31.7  100
30.8  66
36.6  39
34.0  38
63.8  26
27.2  26
55.3  20
29.1  18

Crystal structure
Unit cell a=18.1102 b=18.1102 c=18.1102 alpha=169.20 beta=161.56 gamma=21.42
Fractional coordinates of all 11 atoms:
Ho 0.0000 0.0000 0.0000
Er 0.0957 0.5957 0.5000
Er 0.2671 0.7671 0.5000
Er 0.3688 0.8688 0.5000
Er 0.6312 0.1312 0.5000
Er 0.7329 0.2329 0.5000
Er 0.9043 0.4043 0.5000
Th 0.1820 0.1820 0.0000
Th 0.4560 0.4560 0.0000
Th 0.5440 0.5440 0.0000
Th 0.8180 0.8180 0.0000